This entry pairs a crystal structure of Ba2Mg12Hg5 with its computed X-ray powder pattern. Radiation: Cu Kα. Structure: a cell relaxed with PBE.

Peak list (6 most intense, 2θ = 10–80°, most intense first)
| two_theta | I/Imax |
| --- | --- |
| 11.33 | 100 |
| 34.10 | 98 |
| 35.50 | 71 |
| 25.41 | 41 |
| 35.18 | 41 |
| 22.77 | 39 |

Atomic structure:
```
Ba2Mg12Hg5
1.0
5.258 3.036 5.065
-5.258 3.036 5.065
0.000 -6.071 5.065
Ba Mg Hg
2 12 5
direct
0.163 0.163 0.163 Ba
0.837 0.837 0.837 Ba
0.158 0.158 0.647 Mg
0.158 0.647 0.158 Mg
0.206 0.500 0.794 Mg
0.206 0.794 0.500 Mg
0.353 0.842 0.842 Mg
0.500 0.206 0.794 Mg
0.500 0.794 0.206 Mg
0.647 0.158 0.158 Mg
0.794 0.206 0.500 Mg
0.794 0.500 0.206 Mg
0.842 0.353 0.842 Mg
0.842 0.842 0.353 Mg
0.000 0.500 0.500 Hg
0.402 0.402 0.402 Hg
0.500 0.000 0.500 Hg
0.500 0.500 0.000 Hg
0.598 0.598 0.598 Hg
```

***

This entry pairs a crystal structure of Tb4Mn3Ga16 with its computed X-ray powder pattern. Radiation: Cu Kα. Structure: a cell relaxed with PBE.

Peak list (6 most intense, 2θ = 10–80°, most intense first)
| two_theta | I/Imax |
| --- | --- |
| 38.00 | 100 |
| 42.00 | 64 |
| 33.44 | 46 |
| 59.26 | 29 |
| 39.83 | 25 |
| 74.08 | 24 |

Atomic structure:
```
Tb4Mn3Ga16
1.0
6.085 0.000 0.000
0.000 6.085 0.000
0.000 0.000 11.317
Tb Mn Ga
4 3 16
direct
0.000 0.500 0.190 Tb
0.000 0.500 0.810 Tb
0.500 0.000 0.190 Tb
0.500 0.000 0.810 Tb
0.000 0.000 0.000 Mn
0.000 0.500 0.500 Mn
0.500 0.000 0.500 Mn
0.000 0.000 0.218 Ga
0.000 0.000 0.782 Ga
0.249 0.249 0.380 Ga
0.249 0.249 0.620 Ga
0.249 0.751 0.380 Ga
0.249 0.751 0.620 Ga
0.284 0.284 0.000 Ga
0.284 0.716 0.000 Ga
0.500 0.500 0.194 Ga
0.500 0.500 0.806 Ga
0.716 0.284 0.000 Ga
0.716 0.716 0.000 Ga
0.751 0.249 0.380 Ga
0.751 0.249 0.620 Ga
0.751 0.751 0.380 Ga
0.751 0.751 0.620 Ga
```

***

This entry pairs a crystal structure of Ac4TcAg with its computed X-ray powder pattern. Radiation: Cu Kα. Structure: a cell relaxed with PBE.

Peak list (6 most intense, 2θ = 10–80°, most intense first)
| two_theta | I/Imax |
| --- | --- |
| 29.08 | 100 |
| 27.18 | 70 |
| 30.47 | 60 |
| 24.71 | 49 |
| 43.77 | 35 |
| 33.64 | 34 |

Atomic structure:
```
Ac4TcAg
1.0
4.883 -7.915 0.000
4.883 7.915 0.000
-4.398 0.000 5.867
Ac Tc Ag
8 2 2
direct
0.043 0.626 0.830 Ac
0.190 0.280 0.730 Ac
0.280 0.190 0.230 Ac
0.374 0.957 0.670 Ac
0.626 0.043 0.330 Ac
0.720 0.810 0.770 Ac
0.810 0.720 0.270 Ac
0.957 0.374 0.170 Ac
0.089 0.911 0.750 Tc
0.911 0.089 0.250 Tc
0.382 0.618 0.250 Ag
0.618 0.382 0.750 Ag
```

***

This entry pairs a crystal structure of Os4Ru3W2 with its computed X-ray powder pattern. Radiation: Cu Kα. Structure: a cell relaxed with PBE.

Peak list (6 most intense, 2θ = 10–80°, most intense first)
| two_theta | I/Imax |
| --- | --- |
| 42.68 | 100 |
| 40.85 | 72 |
| 41.63 | 56 |
| 43.29 | 46 |
| 37.36 | 34 |
| 43.44 | 31 |

Atomic structure:
```
Os4Ru3W2
1.0
5.505 0.000 0.000
-0.103 6.514 0.000
-1.817 -1.658 7.488
Os Ru W
8 6 4
direct
0.016 0.307 0.034 Os
0.175 0.360 0.744 Os
0.184 0.983 0.822 Os
0.399 0.647 0.610 Os
0.601 0.353 0.390 Os
0.816 0.017 0.178 Os
0.825 0.640 0.256 Os
0.984 0.693 0.966 Os
0.212 0.962 0.472 Ru
0.327 0.633 0.255 Ru
0.482 0.691 0.965 Ru
0.518 0.309 0.035 Ru
0.673 0.367 0.745 Ru
0.788 0.038 0.528 Ru
0.103 0.342 0.388 W
0.328 0.017 0.176 W
0.672 0.983 0.824 W
0.897 0.658 0.612 W
```

***

This entry pairs a crystal structure of TiCrIrS with its computed X-ray powder pattern. Radiation: Cu Kα. Structure: a cell relaxed with PBE.

Peak list (6 most intense, 2θ = 10–80°, most intense first)
| two_theta | I/Imax |
| --- | --- |
| 37.55 | 100 |
| 11.92 | 91 |
| 43.27 | 85 |
| 51.65 | 32 |
| 35.48 | 23 |
| 63.70 | 22 |

Atomic structure:
```
TiCrIrS
1.0
2.922 0.000 0.000
-1.461 2.530 0.000
0.000 0.000 7.427
Ti Cr Ir S
1 1 1 1
direct
0.000 0.000 0.000 Ti
0.000 0.000 0.433 Cr
0.667 0.333 0.717 Ir
0.333 0.667 0.235 S
```

***

This entry pairs a crystal structure of LaCuSn with its computed X-ray powder pattern. Radiation: Cu Kα. Structure: a cell relaxed with PBE.

Peak list (6 most intense, 2θ = 10–80°, most intense first)
| two_theta | I/Imax |
| --- | --- |
| 32.91 | 100 |
| 33.49 | 95 |
| 39.36 | 76 |
| 27.80 | 62 |
| 27.57 | 61 |
| 32.24 | 54 |

Atomic structure:
```
LaCuSn
1.0
4.795 0.000 0.000
0.000 4.581 0.000
-2.213 0.000 6.983
La Cu Sn
2 2 2
direct
0.137 0.000 0.269 La
0.863 0.000 0.731 La
0.251 0.499 0.002 Cu
0.749 0.499 0.998 Cu
0.325 0.500 0.649 Sn
0.675 0.500 0.351 Sn
```